Pm2SnGe6: theoretical powder X-ray diffraction pattern (Cu Kα (weighted mean of Kα1 and Kα2)), based on DFT lattice parameters and positions (PBE).
Kinematic intensities with the Lorentz-polarization factor, no thermal factor.

Cell and atoms:
```
data_Pm2SnGe6
_chemical_formula_sum 'Pm2 Sn1 Ge6'
_symmetry_space_group_name_H-M 'P 1'
_symmetry_Int_Tables_number 1
_symmetry_space_group_name_Hall 'P 1'
_cell_length_a 7.906
_cell_length_b 7.906
_cell_length_c 3.986
_cell_angle_alpha 104.03
_cell_angle_beta 104.03
_cell_angle_gamma 84.98
loop_
_atom_site_label
_atom_site_type_symbol
_atom_site_fract_x
_atom_site_fract_y
_atom_site_fract_z
Pm1 Pm 0.000 0.000 0.000
Pm2 Pm 0.649 0.649 0.663
Sn1 Sn 0.306 0.306 0.334
Ge1 Ge 0.267 0.687 0.505
Ge2 Ge 0.374 0.869 0.144
Ge3 Ge 0.687 0.267 0.505
Ge4 Ge 0.695 0.944 0.324
Ge5 Ge 0.869 0.374 0.144
Ge6 Ge 0.944 0.695 0.324
```

Top 12 peaks for 10° ≤ 2θ ≤ 90°, sorted by position:
11.54°, d = 7.666 Å, rel. 30.5
23.64°, d = 3.764 Å, rel. 18.4
23.84°, d = 3.733 Å, rel. 86.9
25.66°, d = 3.471 Å, rel. 31.6
33.57°, d = 2.670 Å, rel. 28.3
33.76°, d = 2.655 Å, rel. 40.5
35.12°, d = 2.555 Å, rel. 74.8
37.11°, d = 2.423 Å, rel. 80.8
37.51°, d = 2.398 Å, rel. 100.0
45.52°, d = 1.993 Å, rel. 36.1
48.35°, d = 1.883 Å, rel. 35.5
49.68°, d = 1.835 Å, rel. 21.5



Pm3Sn3Ge2: theoretical powder X-ray diffraction pattern (Cu Kα (weighted mean of Kα1 and Kα2)), based on DFT lattice parameters and positions (PBE).
Kinematic intensities with the Lorentz-polarization factor, no thermal factor.

Cell and atoms:
```
data_Pm3Sn3Ge2
_chemical_formula_sum 'Pm3 Sn3 Ge2'
_symmetry_space_group_name_H-M 'P 1'
_symmetry_Int_Tables_number 1
_symmetry_space_group_name_Hall 'P 1'
_cell_length_a 4.177
_cell_length_b 5.017
_cell_length_c 10.426
_cell_angle_alpha 98.89
_cell_angle_beta 101.52
_cell_angle_gamma 90.02
loop_
_atom_site_label
_atom_site_type_symbol
_atom_site_fract_x
_atom_site_fract_y
_atom_site_fract_z
Pm1 Pm 0.000 0.000 0.000
Pm2 Pm 0.343 0.920 0.686
Pm3 Pm 0.657 0.080 0.314
Sn1 Sn 0.116 0.558 0.232
Sn2 Sn 0.500 0.500 0.000
Sn3 Sn 0.884 0.442 0.768
Ge1 Ge 0.262 0.359 0.524
Ge2 Ge 0.738 0.641 0.476
```

Top 12 peaks for 10° ≤ 2θ ≤ 90°, sorted by position:
26.51°, d = 3.363 Å, rel. 12.5
29.70°, d = 3.008 Å, rel. 45.1
30.81°, d = 2.902 Å, rel. 14.9
32.23°, d = 2.777 Å, rel. 100.0
33.98°, d = 2.638 Å, rel. 66.4
35.60°, d = 2.522 Å, rel. 19.5
35.94°, d = 2.499 Å, rel. 23.7
36.26°, d = 2.477 Å, rel. 17.0
42.73°, d = 2.116 Å, rel. 14.4
43.32°, d = 2.089 Å, rel. 35.2
61.36°, d = 1.511 Å, rel. 13.4
72.47°, d = 1.304 Å, rel. 13.6